Record 1
Structure and computed powder X-ray diffraction pattern of P2PbO9 (a GGA-PBE-relaxed structure; copper Kα).

Peak list (6 most intense, 2θ from 15° to 90°, in order of rising 2θ)
hkl  2θ (°)  I/Imax
2 0 -2  20.05  46
1 1 0  20.38  83
2 0 -4  25.06  55
1 1 2  25.48  100
2 0 2  27.97  50
3 1 -2  34.65  30

a = 9.008 Å, b = 5.108 Å, c = 16.409 Å
α = 90.00°, β = 112.11°, γ = 90.00°
Space group P2_1/c (No. 14)
Unique sites:
P  0.001  0.240  0.383
P  0.480  0.234  0.611
Pb  0.248  0.733  0.490
O  0.037  0.538  0.400
O  0.103  0.696  0.215
O  0.109  0.633  0.071
O  0.162  0.090  0.412
O  0.321  0.109  0.077
O  0.362  0.163  0.259
O  0.389  0.629  0.413
O  0.452  0.734  0.784
O  0.454  0.556  0.080


Record 2
Structure and computed powder X-ray diffraction pattern of BaYCuTe3 (a GGA-PBE-relaxed structure; copper Kα).

Peak list (6 most intense, 2θ from 15° to 90°, in order of rising 2θ)
hkl  2θ (°)  I/Imax
0 2 3  26.20  43
1 3 0  26.85  35
1 3 1  27.98  100
1 3 2  31.14  47
1 1 3  31.47  35
1 3 5  48.28  36

a = 4.443 Å, b = 14.990 Å, c = 11.450 Å
α = 90.00°, β = 90.00°, γ = 90.00°
Space group Cmcm (No. 63)
Unique sites:
Ba  0.000  0.249  0.250
Y  0.000  0.000  0.000
Cu  0.000  0.468  0.750
Te  0.000  0.070  0.750
Te  0.000  0.364  0.561


Record 3
Structure and computed powder X-ray diffraction pattern of CdC2S2N2 (a GGA-PBE-relaxed structure; copper Kα).

Peak list (6 most intense, 2θ from 15° to 90°, in order of rising 2θ)
hkl  2θ (°)  I/Imax
1 1 0  17.67  100
0 2 1  18.06  88
1 3 -1  25.52  94
0 1 2  25.78  79
2 2 -1  33.12  73
1 4 -2  35.72  68

a = 5.905 Å, b = 13.533 Å, c = 7.805 Å
α = 90.00°, β = 113.79°, γ = 90.00°
Space group P2_1/c (No. 14)
Unique sites:
Cd  0.175  0.131  0.116
C  0.276  0.514  0.279
C  0.377  0.746  0.486
S  0.011  0.033  0.763
S  0.357  0.207  0.494
N  0.184  0.713  0.470
N  0.463  0.547  0.286


Record 4
Structure and computed powder X-ray diffraction pattern of CeAlGa (a GGA-PBE-relaxed structure; copper Kα).

Peak list (6 most intense, 2θ from 15° to 90°, in order of rising 2θ)
hkl  2θ (°)  I/Imax
1 0 0  23.60  28
1 0 1  32.25  100
1 1 0  41.50  38
2 0 1  53.51  24
1 1 2  62.19  23
2 1 1  69.90  21

a = 4.3523 Å, b = 4.3523 Å, c = 4.1029 Å
α = 90.00°, β = 90.00°, γ = 120.00°
Space group P-6m2 (No. 187)
Unique sites:
Ce  0.0000  0.0000  0.0000
Al  0.3333  0.6667  0.5000
Ga  0.6667  0.3333  0.5000


Record 5
Structure and computed powder X-ray diffraction pattern of Sr2MgAg2O4 (a GGA-PBE-relaxed structure; copper Kα).

Peak list (6 most intense, 2θ from 15° to 90°, in order of rising 2θ)
hkl  2θ (°)  I/Imax
0 0 2  17.98  87
0 2 2  27.21  61
2 0 2  27.34  60
2 2 0  28.92  100
1 1 3  30.80  51
2 0 4  42.07  61

a = 8.698 Å, b = 8.766 Å, c = 9.868 Å
α = 90.00°, β = 90.00°, γ = 90.00°
Space group Fmmm (No. 69)
Unique sites:
Sr  0.000  0.000  0.153
Mg  0.000  0.000  0.500
Ag  0.250  0.250  0.000
O  0.000  0.233  0.500
O  0.237  0.000  0.000